Diffraction record for HoB12. The powder diffractogram is calculated, not measured: it uses a cell relaxed with PBE and λ = 1.5418 Å (Cu Kα).
Kinematic intensities with the Lorentz-polarization factor, no thermal factor.

Lattice parameters (Å, degrees): 5.296 5.296 5.296 60.00 60.00 60.00
Fractional positions:
Ho (0.000, 0.000, 0.000)
B (0.162, 0.500, 0.500)
B (0.162, 0.500, 0.838)
B (0.162, 0.838, 0.500)
B (0.500, 0.162, 0.500)
B (0.500, 0.162, 0.838)
B (0.500, 0.500, 0.162)
B (0.500, 0.500, 0.838)
B (0.500, 0.838, 0.162)
B (0.500, 0.838, 0.500)
B (0.838, 0.162, 0.500)
B (0.838, 0.500, 0.162)
B (0.838, 0.500, 0.500)

Principal peaks in the range 10° ≤ 2θ ≤ 90°, low angle first:
20.54°, I 96; 23.76°, I 73; 33.85°, I 43; 39.93°, I 100; 41.78°, I 30; 53.32°, I 33; 54.82°, I 24; 60.57°, I 29; 75.03°, I 31; 76.29°, I 21

=====

Diffraction record for Ho2B10Ir. The powder diffractogram is calculated, not measured: it uses a cell relaxed with PBE and λ = 1.5418 Å (Cu Kα).
Kinematic intensities with the Lorentz-polarization factor, no thermal factor.

Lattice parameters (Å, degrees): 5.684 11.313 4.166 90.00 90.00 90.00
Fractional positions:
Ho (0.204, 0.134, 0.000)
Ho (0.296, 0.634, 0.000)
Ho (0.704, 0.366, 0.000)
Ho (0.796, 0.866, 0.000)
B (0.056, 0.307, 0.500)
B (0.119, 0.958, 0.500)
B (0.136, 0.803, 0.500)
B (0.221, 0.381, 0.198)
B (0.221, 0.381, 0.802)
B (0.279, 0.881, 0.198)
B (0.279, 0.881, 0.802)
B (0.364, 0.303, 0.500)
B (0.381, 0.458, 0.500)
B (0.444, 0.807, 0.500)
B (0.556, 0.193, 0.500)
B (0.619, 0.542, 0.500)
B (0.636, 0.697, 0.500)
B (0.721, 0.119, 0.198)
B (0.721, 0.119, 0.802)
B (0.779, 0.619, 0.198)
B (0.779, 0.619, 0.802)
B (0.864, 0.197, 0.500)
B (0.881, 0.042, 0.500)
B (0.944, 0.693, 0.500)
Ir (0.000, 0.500, 0.500)
Ir (0.500, 0.000, 0.500)

Principal peaks in the range 10° ≤ 2θ ≤ 90°, low angle first:
17.46°, I 29; 22.17°, I 72; 26.57°, I 33; 27.69°, I 74; 28.40°, I 37; 30.95°, I 100; 38.34°, I 65; 38.47°, I 78; 43.44°, I 28; 45.23°, I 41

=====

Diffraction record for HoB4Ir5. The powder diffractogram is calculated, not measured: it uses a cell relaxed with PBE and λ = 1.5418 Å (Cu Kα).
Kinematic intensities with the Lorentz-polarization factor, no thermal factor.

Lattice parameters (Å, degrees): 6.888 6.888 5.395 90.00 90.00 90.00
Fractional positions:
Ho (0.250, 0.750, 0.000)
Ho (0.750, 0.250, 0.000)
B (0.037, 0.250, 0.413)
B (0.250, 0.037, 0.413)
B (0.250, 0.463, 0.413)
B (0.463, 0.250, 0.413)
B (0.537, 0.750, 0.587)
B (0.750, 0.537, 0.587)
B (0.750, 0.963, 0.587)
B (0.963, 0.750, 0.587)
Ir (0.039, 0.039, 0.732)
Ir (0.039, 0.461, 0.732)
Ir (0.250, 0.250, 0.105)
Ir (0.461, 0.039, 0.732)
Ir (0.461, 0.461, 0.732)
Ir (0.539, 0.539, 0.268)
Ir (0.539, 0.961, 0.268)
Ir (0.750, 0.750, 0.895)
Ir (0.961, 0.539, 0.268)
Ir (0.961, 0.961, 0.268)

Principal peaks in the range 10° ≤ 2θ ≤ 90°, low angle first:
25.87°, I 24; 30.80°, I 48; 33.50°, I 38; 36.91°, I 83; 42.57°, I 100; 42.80°, I 52; 50.70°, I 22; 53.19°, I 22; 70.56°, I 20; 76.55°, I 28

=====

Diffraction record for HoNiBIr. The powder diffractogram is calculated, not measured: it uses a cell relaxed with PBE and λ = 1.5418 Å (Cu Kα).
Kinematic intensities with the Lorentz-polarization factor, no thermal factor.

Lattice parameters (Å, degrees): 5.107 5.107 5.107 138.03 136.42 62.10
Fractional positions:
Ho (0.000, 0.000, 0.000)
Ni (0.349, 0.349, 0.000)
B (0.757, 0.257, 0.500)
Ir (0.647, 0.647, 0.000)

Principal peaks in the range 10° ≤ 2θ ≤ 90°, low angle first:
20.30°, I 22; 34.06°, I 100; 38.96°, I 67; 39.52°, I 66; 39.97°, I 19; 47.99°, I 21; 49.87°, I 18; 63.85°, I 38; 65.03°, I 30; 74.36°, I 17